This entry pairs a crystal structure of GdCo9Si4 with its calculated X-ray powder pattern. Radiation: λ = 1.5418 Å (Cu Kα). Structure: DFT lattice parameters and positions (GGA-PBE).
Neutral-atom scattering factors, no anomalous dispersion.

The 10 most intense peaks (2θ = 15–90°), low angle first:
2θ/deg	I (rel.)
31.3	16.4
35.4	21.8
36.5	21.9
36.9	17.0
39.2	24.9
40.2	100.0
47.7	36.6
48.8	31.1
49.4	18.2
53.1	13.3

Lattice parameters (Å, degrees): 7.905 7.905 7.905 121.62 121.62 87.21
Fractional coordinates of all 28 atoms:
Gd (0.250, 0.250, 0.000)
Gd (0.750, 0.750, 0.000)
Co (0.000, 0.500, 0.500)
Co (0.052, 0.552, 0.242)
Co (0.070, 0.801, 0.870)
Co (0.190, 0.948, 0.500)
Co (0.199, 0.070, 0.269)
Co (0.301, 0.570, 0.870)
Co (0.310, 0.810, 0.758)
Co (0.430, 0.301, 0.731)
Co (0.448, 0.690, 0.500)
Co (0.500, 0.000, 0.500)
Co (0.552, 0.310, 0.500)
Co (0.570, 0.699, 0.269)
Co (0.690, 0.190, 0.242)
Co (0.699, 0.430, 0.130)
Co (0.801, 0.930, 0.731)
Co (0.810, 0.052, 0.500)
Co (0.930, 0.199, 0.130)
Co (0.948, 0.448, 0.758)
Si (0.048, 0.209, 0.500)
Si (0.209, 0.709, 0.161)
Si (0.291, 0.452, 0.500)
Si (0.452, 0.952, 0.161)
Si (0.548, 0.048, 0.839)
Si (0.709, 0.548, 0.500)
Si (0.791, 0.291, 0.839)
Si (0.952, 0.791, 0.500)